(1)
Calculated X-ray powder pattern of Nd6ZnNi2I3 for a wavelength of 1.5418 Å, from DFT lattice parameters and positions (GGA-PBE).
Intensities are scaled so that the largest is 100.

Structure:
a b c (Å): 7.316 12.551 8.346
angles (deg): 90.00 106.84 90.00
Space group C2/m (No. 12)
Asymmetric unit:
Nd  0.206  0.000  0.188 x4
Nd  0.246  0.322  0.195 x8
Zn  0.000  0.500  0.000 x2
Ni  0.000  0.170  0.000 x4
I  0.000  0.000  0.500 x2
I  0.000  0.340  0.500 x4

Main lines, sorted by position (2θ = 15–90°):
- d 3.118, rel. 50
- d 3.108, rel. 100
- d 2.893, rel. 20
- d 2.663, rel. 16
- d 2.309, rel. 28
- d 2.107, rel. 36
- d 2.092, rel. 18
- d 1.737, rel. 17

(2)
Calculated X-ray powder pattern of NdPIO4 for a wavelength of 1.5418 Å, from DFT lattice parameters and positions (GGA-PBE).
Intensities are scaled so that the largest is 100.

Structure:
a b c (Å): 11.586 6.428 6.756
angles (deg): 90.00 99.79 90.00
Space group C2/m (No. 12)
Asymmetric unit:
Nd  0.198  0.000  0.314 x4
P  0.136  0.000  0.752 x4
I  0.033  0.500  0.199 x4
O  0.002  0.000  0.731 x4
O  0.179  0.191  0.635 x8
O  0.195  0.000  0.973 x4

Main lines, sorted by position (2θ = 15–90°):
- d 4.751, rel. 43
- d 4.120, rel. 39
- d 3.329, rel. 45
- d 3.275, rel. 100
- d 3.214, rel. 69
- d 3.125, rel. 33
- d 2.782, rel. 26
- d 2.312, rel. 30

(3)
Calculated X-ray powder pattern of PrNd2IO8 for a wavelength of 1.5418 Å, from DFT lattice parameters and positions (GGA-PBE).
Intensities are scaled so that the largest is 100.

Structure:
a b c (Å): 5.201 7.116 5.201
angles (deg): 90.00 90.12 90.00
Space group P2/m (No. 10)
Asymmetric unit:
Pr  0.000  0.000  0.000 x1
Nd  0.500  0.253  0.500 x2
I  0.000  0.500  0.000 x1
O  0.176  0.301  0.822 x4
O  0.260  0.500  0.257 x2
O  0.314  0.000  0.312 x2

Main lines, sorted by position (2θ = 15–90°):
- d 3.678, rel. 100
- d 2.937, rel. 90
- d 2.600, rel. 25
- d 1.947, rel. 69
- d 1.645, rel. 16
- d 1.602, rel. 18
- d 1.558, rel. 20
- d 1.189, rel. 13

(4)
Calculated X-ray powder pattern of NdSm2IO8 for a wavelength of 1.5418 Å, from DFT lattice parameters and positions (GGA-PBE).
Intensities are scaled so that the largest is 100.

Structure:
a b c (Å): 7.269 7.287 7.041
angles (deg): 90.00 90.00 90.00
Space group Cmmm (No. 65)
Asymmetric unit:
Nd  0.000  0.000  0.000 x2
Sm  0.000  0.500  0.252 x4
I  0.000  0.000  0.500 x2
O  0.000  0.179  0.299 x8
O  0.187  0.500  0.000 x4
O  0.239  0.500  0.500 x4

Main lines, sorted by position (2θ = 15–90°):
- d 3.639, rel. 100
- d 2.906, rel. 90
- d 2.573, rel. 25
- d 1.926, rel. 69
- d 1.627, rel. 16
- d 1.585, rel. 18
- d 1.542, rel. 20
- d 1.176, rel. 13

(5)
Calculated X-ray powder pattern of NdSmIO6 for a wavelength of 1.5418 Å, from DFT lattice parameters and positions (GGA-PBE).
Intensities are scaled so that the largest is 100.

Structure:
a b c (Å): 5.7553 5.7553 9.7748
angles (deg): 90.00 90.00 120.00
Space group P-31c (No. 163)
Asymmetric unit:
Nd  0.0000  0.0000  0.0000 x2
Sm  0.3333  0.6667  0.2500 x2
I  0.3333  0.6667  0.7500 x2
O  0.0430  0.3716  0.6359 x12

Main lines, sorted by position (2θ = 15–90°):
- d 3.490, rel. 100
- d 2.878, rel. 52
- d 2.220, rel. 29
- d 1.863, rel. 45
- d 1.758, rel. 28
- d 1.661, rel. 17
- d 1.330, rel. 11
- d 1.240, rel. 11

(6)
Calculated X-ray powder pattern of Nd3OsI3 for a wavelength of 1.5418 Å, from DFT lattice parameters and positions (GGA-PBE).
Intensities are scaled so that the largest is 100.

Structure:
a b c (Å): 9.315 4.348 12.680
angles (deg): 90.00 92.54 90.00
Space group P2_1/m (No. 11)
Asymmetric unit:
Nd  0.099  0.250  0.388 x2
Nd  0.113  0.250  0.829 x2
Nd  0.303  0.750  0.616 x2
Os  0.104  0.250  0.617 x2
I  0.134  0.250  0.116 x2
I  0.362  0.750  0.871 x2
I  0.401  0.750  0.367 x2

Main lines, sorted by position (2θ = 15–90°):
- d 3.174, rel. 100
- d 3.060, rel. 7
- d 2.525, rel. 7
- d 2.327, rel. 9
- d 2.278, rel. 23
- d 2.210, rel. 18
- d 2.174, rel. 14
- d 1.792, rel. 12

(7)
Calculated X-ray powder pattern of Nd4POsI2 for a wavelength of 1.5418 Å, from DFT lattice parameters and positions (GGA-PBE).
Intensities are scaled so that the largest is 100.

Structure:
a b c (Å): 7.537 4.184 8.209
angles (deg): 90.00 105.99 90.00
Space group P2/m (No. 10)
Asymmetric unit:
Nd  0.221  0.000  0.187 x2
Nd  0.258  0.500  0.817 x2
P  0.500  0.000  0.000 x1
Os  0.000  0.500  0.000 x1
I  0.000  0.000  0.500 x1
I  0.500  0.500  0.500 x1

Main lines, sorted by position (2θ = 15–90°):
- d 3.133, rel. 100
- d 2.873, rel. 11
- d 2.364, rel. 9
- d 2.283, rel. 16
- d 2.153, rel. 27
- d 2.092, rel. 14
- d 1.740, rel. 12
- d 1.369, rel. 11

(8)
Calculated X-ray powder pattern of NdPbI for a wavelength of 1.5418 Å, from DFT lattice parameters and positions (GGA-PBE).
Intensities are scaled so that the largest is 100.

Structure:
a b c (Å): 18.0229 18.0229 7.3292
angles (deg): 90.00 90.00 120.00
Space group R-3 (No. 148, hexagonal axes)
Asymmetric unit:
Nd  0.0365  0.4861  0.2275 x18
Pb  0.0067  0.7341  0.7889 x18
I  0.0333  0.8694  0.2575 x18

Main lines, sorted by position (2θ = 15–90°):
- d 3.217, rel. 100
- d 3.113, rel. 15
- d 2.671, rel. 19
- d 2.618, rel. 37
- d 2.561, rel. 28
- d 2.358, rel. 12
- d 2.067, rel. 14
- d 1.533, rel. 21

(9)
Calculated X-ray powder pattern of Nd6Si2PbI3 for a wavelength of 1.5418 Å, from DFT lattice parameters and positions (GGA-PBE).
Intensities are scaled so that the largest is 100.

Structure:
a b c (Å): 19.988 4.406 9.247
angles (deg): 90.00 106.10 90.00
Space group C2/m (No. 12)
Asymmetric unit:
Nd  0.019  0.000  0.247 x4
Nd  0.165  0.500  0.133 x4
Nd  0.179  0.500  0.560 x4
Si  0.169  0.000  0.342 x4
Pb  0.000  0.500  0.000 x2
I  0.000  0.500  0.500 x2
I  0.164  0.000  0.836 x4

Main lines, sorted by position (2θ = 15–90°):
- d 3.201, rel. 47
- d 3.188, rel. 100
- d 2.309, rel. 14
- d 2.297, rel. 29
- d 2.222, rel. 35
- d 2.203, rel. 19
- d 1.815, rel. 18
- d 1.607, rel. 11

(10)
Calculated X-ray powder pattern of NdTlPbI6 for a wavelength of 1.5418 Å, from DFT lattice parameters and positions (GGA-PBE).
Intensities are scaled so that the largest is 100.

Structure:
a b c (Å): 8.1781 8.1781 15.2394
angles (deg): 90.00 90.00 120.00
Space group P-31c (No. 163)
Asymmetric unit:
Nd  0.3333  0.6667  0.2500 x2
Tl  0.0000  0.0000  0.0000 x2
Pb  0.3333  0.6667  0.7500 x2
I  0.0105  0.3655  0.1302 x12

Main lines, sorted by position (2θ = 15–90°):
- d 5.188, rel. 78
- d 3.603, rel. 97
- d 2.787, rel. 100
- d 2.526, rel. 31
- d 2.361, rel. 57
- d 1.903, rel. 26
- d 1.802, rel. 25
- d 1.483, rel. 26

(11)
Calculated X-ray powder pattern of PmNdI5 for a wavelength of 1.5418 Å, from DFT lattice parameters and positions (GGA-PBE).
Intensities are scaled so that the largest is 100.

Structure:
a b c (Å): 9.414 4.309 14.895
angles (deg): 90.00 94.87 90.00
Space group P2_1/m (No. 11)
Asymmetric unit:
Pm  0.086  0.250  0.158 x2
Nd  0.394  0.750  0.350 x2
I  0.132  0.250  0.787 x2
I  0.149  0.250  0.375 x2
I  0.178  0.750  0.016 x2
I  0.368  0.750  0.572 x2
I  0.430  0.250  0.192 x2

Main lines, sorted by position (2θ = 15–90°):
- d 3.413, rel. 100
- d 3.268, rel. 78
- d 3.173, rel. 94
- d 3.140, rel. 75
- d 3.125, rel. 87
- d 2.968, rel. 60
- d 2.345, rel. 91
- d 2.154, rel. 67

(12)
Calculated X-ray powder pattern of PmNdI2 for a wavelength of 1.5418 Å, from DFT lattice parameters and positions (GGA-PBE).
Intensities are scaled so that the largest is 100.

Structure:
a b c (Å): 3.8566 3.8566 29.7650
angles (deg): 90.00 90.00 120.00
Space group R-3m (No. 166, hexagonal axes)
Asymmetric unit:
Pm  0.0000  0.0000  0.0000 x3
Nd  0.0000  0.0000  0.5000 x3
I  0.0000  0.0000  0.2505 x6

Main lines, sorted by position (2θ = 15–90°):
- d 3.047, rel. 100
- d 2.484, rel. 76
- d 1.928, rel. 27
- d 1.629, rel. 16
- d 1.625, rel. 15
- d 1.523, rel. 37
- d 1.245, rel. 13
- d 1.195, rel. 11